(1)
The following is a simulated X-ray powder pattern of DyTmIr2. It was derived from DFT lattice parameters and positions (GGA-PBE), using Cu Kα (λ = 1.5418 Å).
No peak broadening, texture or thermal motion is included.

Top 5 peaks for 10° ≤ 2θ ≤ 90°, most intense first:
Position (°2θ)	Rel. int.	index
37.31	100	2 2 0
67.28	36	4 2 2
53.79	18	4 0 0
79.54	11	4 4 0
26.14	1	2 0 0

Crystal structure
```
data_DyTmIr2
_space_group_name_H-M_alt 'F m -3 m'
_space_group_IT_number 225
_space_group_name_Hall '-F 4 2 3'
_cell_length_a 6.817
_cell_length_b 6.817
_cell_length_c 6.817
_cell_angle_alpha 90.00
_cell_angle_beta 90.00
_cell_angle_gamma 90.00
loop_
_atom_site_label
_atom_site_type_symbol
_atom_site_fract_x
_atom_site_fract_y
_atom_site_fract_z
Dy1 Dy 0.000 0.000 0.000
Tm1 Tm 0.000 0.000 0.500
Ir1 Ir 0.250 0.250 0.250
```

---

(2)
The following is a simulated X-ray powder pattern of Eu2TmTaO6. It was derived from DFT lattice parameters and positions (GGA-PBE), using Cu Kα (λ = 1.5418 Å).
No peak broadening, texture or thermal motion is included.

Top 6 peaks for 10° ≤ 2θ ≤ 90°, most intense first:
Position (°2θ)	Rel. int.	index
30.31	100	2 2 0
53.84	41	4 2 2
43.39	27	4 0 0
87.52	22	6 4 2
71.54	18	6 2 0
63.04	17	4 4 0

Crystal structure
```
data_Eu2TmTaO6
_space_group_name_H-M_alt 'F m -3 m'
_space_group_IT_number 225
_space_group_name_Hall '-F 4 2 3'
_cell_length_a 8.341
_cell_length_b 8.341
_cell_length_c 8.341
_cell_angle_alpha 90.00
_cell_angle_beta 90.00
_cell_angle_gamma 90.00
loop_
_atom_site_label
_atom_site_type_symbol
_atom_site_fract_x
_atom_site_fract_y
_atom_site_fract_z
Eu1 Eu 0.250 0.250 0.250
Tm1 Tm 0.000 0.000 0.000
Ta1 Ta 0.000 0.000 0.500
O1 O 0.000 0.000 0.261
```

---

(3)
The following is a simulated X-ray powder pattern of CsK2Pt. It was derived from DFT lattice parameters and positions (GGA-PBE), using Cu Kα (λ = 1.5418 Å).
No peak broadening, texture or thermal motion is included.

Top 6 peaks for 10° ≤ 2θ ≤ 90°, most intense first:
Position (°2θ)	Rel. int.	index
27.83	100	2 0 1
22.73	49	2 0 0
15.85	40	0 0 1
36.23	35	2 2 1
32.37	30	2 2 0
39.62	24	2 0 2

Crystal structure
```
data_CsK2Pt
_space_group_name_H-M_alt 'P 4/m b m'
_space_group_IT_number 127
_space_group_name_Hall '-P 4 2ab'
_cell_length_a 7.824
_cell_length_b 7.824
_cell_length_c 5.592
_cell_angle_alpha 90.00
_cell_angle_beta 90.00
_cell_angle_gamma 90.00
loop_
_atom_site_label
_atom_site_type_symbol
_atom_site_fract_x
_atom_site_fract_y
_atom_site_fract_z
Cs1 Cs 0.000 0.000 0.000
K1 K 0.166 0.334 0.500
Pt1 Pt 0.000 0.500 0.000
```

---

(4)
The following is a simulated X-ray powder pattern of PuGe3. It was derived from DFT lattice parameters and positions (GGA-PBE), using Cu Kα (λ = 1.5418 Å).
No peak broadening, texture or thermal motion is included.

Top 6 peaks for 10° ≤ 2θ ≤ 90°, most intense first:
Position (°2θ)	Rel. int.	index
36.42	100	1 1 1
42.31	50	2 0 0
73.51	39	3 1 1
20.79	35	1 0 0
61.37	33	2 2 0
29.57	30	1 1 0

Crystal structure
```
data_PuGe3
_space_group_name_H-M_alt 'P m -3 m'
_space_group_IT_number 221
_space_group_name_Hall '-P 4 2 3'
_cell_length_a 4.273
_cell_length_b 4.273
_cell_length_c 4.273
_cell_angle_alpha 90.00
_cell_angle_beta 90.00
_cell_angle_gamma 90.00
loop_
_atom_site_label
_atom_site_type_symbol
_atom_site_fract_x
_atom_site_fract_y
_atom_site_fract_z
Pu1 Pu 0.000 0.000 0.000
Ge1 Ge 0.000 0.500 0.500
```

---

(5)
The following is a simulated X-ray powder pattern of HfMgN2. It was derived from DFT lattice parameters and positions (GGA-PBE), using Cu Kα (λ = 1.5418 Å).
No peak broadening, texture or thermal motion is included.

Top 6 peaks for 10° ≤ 2θ ≤ 90°, most intense first:
Position (°2θ)	Rel. int.	index
22.25	100	1 0 1
34.60	87	1 1 2
40.68	47	2 0 0
57.73	33	2 0 4
46.85	29	2 1 1
35.57	28	1 0 3

Crystal structure
```
data_HfMgN2
_space_group_name_H-M_alt 'I 41/a m d'
_space_group_IT_number 141
_cell_length_a 4.436
_cell_length_b 4.436
_cell_length_c 9.206
_cell_angle_alpha 90.00
_cell_angle_beta 90.00
_cell_angle_gamma 90.00
loop_
_space_group_symop_operation_xyz
'x,y,z'
'-x,-y,-z'
'-y+1/4,x+3/4,z+1/4'
'y+1/4,-x+3/4,-z+1/4'
'-x+1/2,-y,z+1/2'
'x+1/2,y,-z+1/2'
'y+1/4,-x+1/4,z+3/4'
'-y+1/4,x+1/4,-z+3/4'
'x,-y,-z'
'-x,y,z'
'-y+1/4,-x+1/4,-z+3/4'
'y+1/4,x+1/4,z+3/4'
'-x+1/2,y,-z+1/2'
'x+1/2,-y,z+1/2'
'y+1/4,x+3/4,-z+1/4'
'-y+1/4,-x+3/4,z+1/4'
'x+1/2,y+1/2,z+1/2'
'-x+1/2,-y+1/2,-z+1/2'
'-y+3/4,x+1/4,z+3/4'
'y+3/4,-x+1/4,-z+3/4'
'-x,-y+1/2,z'
'x,y+1/2,-z'
'y+3/4,-x+3/4,z+1/4'
'-y+3/4,x+3/4,-z+1/4'
'x+1/2,-y+1/2,-z+1/2'
'-x+1/2,y+1/2,z+1/2'
'-y+3/4,-x+3/4,-z+1/4'
'y+3/4,x+3/4,z+1/4'
'-x,y+1/2,-z'
'x,-y+1/2,z'
'y+3/4,x+1/4,-z+3/4'
'-y+3/4,-x+1/4,z+3/4'
loop_
_atom_site_label
_atom_site_type_symbol
_atom_site_fract_x
_atom_site_fract_y
_atom_site_fract_z
Hf1 Hf 0.000 0.250 0.375
Mg1 Mg 0.000 0.250 0.875
N1 N 0.000 0.250 0.136
```

---

(6)
The following is a simulated X-ray powder pattern of TmS2. It was derived from DFT lattice parameters and positions (GGA-PBE), using Cu Kα (λ = 1.5418 Å).
No peak broadening, texture or thermal motion is included.

Top 6 peaks for 10° ≤ 2θ ≤ 90°, most intense first:
Position (°2θ)	Rel. int.	index
25.97	100	1 0 1
40.57	59	1 1 2
41.82	42	1 0 3
33.22	38	1 1 0
22.61	29	0 0 2
55.10	27	2 1 1

Crystal structure
```
data_TmS2
_space_group_name_H-M_alt 'P 4/n m m'
_space_group_IT_number 129
_cell_length_a 3.814
_cell_length_b 3.814
_cell_length_c 7.864
_cell_angle_alpha 90.00
_cell_angle_beta 90.00
_cell_angle_gamma 90.00
loop_
_space_group_symop_operation_xyz
'x,y,z'
'-x,-y,-z'
'-y+1/2,x,z'
'y+1/2,-x,-z'
'-x+1/2,-y+1/2,z'
'x+1/2,y+1/2,-z'
'y,-x+1/2,z'
'-y,x+1/2,-z'
'x+1/2,-y,-z'
'-x+1/2,y,z'
'-y,-x,-z'
'y,x,z'
'-x,y+1/2,-z'
'x,-y+1/2,z'
'y+1/2,x+1/2,-z'
'-y+1/2,-x+1/2,z'
loop_
_atom_site_label
_atom_site_type_symbol
_atom_site_fract_x
_atom_site_fract_y
_atom_site_fract_z
Tm1 Tm 0.250 0.250 0.226
S1 S 0.250 0.250 0.869
S2 S 0.250 0.750 0.500
```

---

Please write out number 2 again, unchanged.
The following is a simulated X-ray powder pattern of Eu2TmTaO6. It was derived from DFT lattice parameters and positions (GGA-PBE), using Cu Kα (λ = 1.5418 Å).
No peak broadening, texture or thermal motion is included.

Top 6 peaks for 10° ≤ 2θ ≤ 90°, most intense first:
Position (°2θ)	Rel. int.	index
30.31	100	2 2 0
53.84	41	4 2 2
43.39	27	4 0 0
87.52	22	6 4 2
71.54	18	6 2 0
63.04	17	4 4 0

Crystal structure
```
data_Eu2TmTaO6
_space_group_name_H-M_alt 'F m -3 m'
_space_group_IT_number 225
_space_group_name_Hall '-F 4 2 3'
_cell_length_a 8.341
_cell_length_b 8.341
_cell_length_c 8.341
_cell_angle_alpha 90.00
_cell_angle_beta 90.00
_cell_angle_gamma 90.00
loop_
_atom_site_label
_atom_site_type_symbol
_atom_site_fract_x
_atom_site_fract_y
_atom_site_fract_z
Eu1 Eu 0.250 0.250 0.250
Tm1 Tm 0.000 0.000 0.000
Ta1 Ta 0.000 0.000 0.500
O1 O 0.000 0.000 0.261
```